# BC5
Theoretical powder diffraction line list, CuKα. Input: a structure optimized by DFT (GGA-PBE).

Structure:
```
data_BC5
_chemical_formula_sum 'B1 C5'
_cell_length_a 2.552
_cell_length_b 2.552
_cell_length_c 6.400
_cell_angle_alpha 90.00
_cell_angle_beta 90.00
_cell_angle_gamma 120.00
_symmetry_space_group_name_H-M 'P 1'
_symmetry_Int_Tables_number 1
_symmetry_space_group_name_Hall 'P 1'
loop_
_atom_site_label
_atom_site_type_symbol
_atom_site_fract_x
_atom_site_fract_y
_atom_site_fract_z
B1 B 0.000 0.000 0.000
C1 C 0.000 0.000 0.252
C2 C 0.333 0.667 0.331
C3 C 0.333 0.667 0.574
C4 C 0.667 0.333 0.657
C5 C 0.667 0.333 0.891
```

Largest 6 diffraction maxima, sorted by position, 2θ = 5–70°:
- (0 0 1), 2θ 13.84, rel. 9
- (0 0 2), 2θ 27.88, rel. 1
- (0 0 3), 2θ 42.37, rel. 30
- (0 1 1), 2θ 43.32, rel. 100
- (1 0 2), 2θ 50.17, rel. 1
- (0 0 4), 2θ 57.61, rel. 1